# 1
For Dy2HoZrSc4, the GGA-PBE geometry in Alexandria gives the computed X-ray diffraction stick pattern in this record (copper Kα).

Atomic structure:
```
data_Dy2HoZrSc4
_chemical_formula_sum 'Dy2 Ho1 Zr1 Sc4'
_space_group_name_H-M_alt 'P 1'
_space_group_IT_number 1
_cell_length_a 4.770
_cell_length_b 4.784
_cell_length_c 9.280
_cell_angle_alpha 90.00
_cell_angle_beta 90.00
_cell_angle_gamma 90.00
loop_
_space_group_symop_operation_xyz
'x,y,z'
loop_
_atom_site_label
_atom_site_type_symbol
_atom_site_fract_x
_atom_site_fract_y
_atom_site_fract_z
Dy1 Dy 0.000 0.000 0.000
Dy2 Dy 0.500 0.500 0.500
Ho1 Ho 0.000 0.000 0.500
Zr1 Zr 0.500 0.500 0.000
Sc1 Sc 0.000 0.500 0.239
Sc2 Sc 0.000 0.500 0.761
Sc3 Sc 0.500 0.000 0.239
Sc4 Sc 0.500 0.000 0.761
```

The 8 most intense peaks (2θ = 10–80°), sorted by position:
- 19.13 deg, rel. 25
- 26.38 deg, rel. 24
- 32.79 deg, rel. 100
- 37.60 deg, rel. 17
- 37.72 deg, rel. 17
- 38.82 deg, rel. 16
- 55.19 deg, rel. 22
- 64.84 deg, rel. 13

---

# 2
For DyHoSe2, the GGA-PBE geometry in Alexandria gives the computed X-ray diffraction stick pattern in this record (copper Kα).

Atomic structure:
```
data_DyHoSe2
_chemical_formula_sum 'Dy2 Ho2 Se4'
_space_group_name_H-M_alt 'P 1'
_space_group_IT_number 1
_cell_length_a 3.990
_cell_length_b 3.990
_cell_length_c 13.849
_cell_angle_alpha 90.00
_cell_angle_beta 90.00
_cell_angle_gamma 120.00
loop_
_space_group_symop_operation_xyz
'x,y,z'
loop_
_atom_site_label
_atom_site_type_symbol
_atom_site_fract_x
_atom_site_fract_y
_atom_site_fract_z
Dy1 Dy 0.333 0.667 0.250
Dy2 Dy 0.667 0.333 0.750
Ho1 Ho 0.000 0.000 0.000
Ho2 Ho 0.000 0.000 0.500
Se1 Se 0.333 0.667 0.622
Se2 Se 0.333 0.667 0.878
Se3 Se 0.667 0.333 0.122
Se4 Se 0.667 0.333 0.378
```

The 8 most intense peaks (2θ = 10–80°), sorted by position:
- 28.88 deg, rel. 100
- 32.36 deg, rel. 76
- 36.75 deg, rel. 24
- 41.80 deg, rel. 33
- 45.47 deg, rel. 59
- 47.37 deg, rel. 29
- 52.93 deg, rel. 21
- 72.26 deg, rel. 29

---

# 3
For Dy3Ho2Se6, the GGA-PBE geometry in Alexandria gives the computed X-ray diffraction stick pattern in this record (copper Kα).

Atomic structure:
```
data_Dy3Ho2Se6
_chemical_formula_sum 'Dy3 Ho2 Se6'
_space_group_name_H-M_alt 'P 1'
_space_group_IT_number 1
_cell_length_a 7.007
_cell_length_b 7.007
_cell_length_c 7.001
_cell_angle_alpha 99.64
_cell_angle_beta 99.64
_cell_angle_gamma 119.77
loop_
_space_group_symop_operation_xyz
'x,y,z'
loop_
_atom_site_label
_atom_site_type_symbol
_atom_site_fract_x
_atom_site_fract_y
_atom_site_fract_z
Dy1 Dy 0.000 0.000 0.000
Dy2 Dy 0.335 0.665 0.000
Dy3 Dy 0.665 0.335 0.000
Ho1 Ho 0.165 0.835 0.500
Ho2 Ho 0.835 0.165 0.500
Se1 Se 0.089 0.418 0.254
Se2 Se 0.254 0.254 0.743
Se3 Se 0.418 0.089 0.254
Se4 Se 0.582 0.911 0.746
Se5 Se 0.746 0.746 0.257
Se6 Se 0.911 0.582 0.746
```

The 8 most intense peaks (2θ = 10–80°), sorted by position:
- 27.01 deg, rel. 9
- 31.26 deg, rel. 100
- 44.72 deg, rel. 37
- 44.86 deg, rel. 37
- 55.68 deg, rel. 19
- 65.24 deg, rel. 8
- 74.09 deg, rel. 11
- 74.21 deg, rel. 11